For CaTb4Y7, a crystal structure in Alexandria, relaxed with GGA-PBE gives the theoretical X-ray powder pattern in this record (λ = 1.5418 Å (Cu Kα)).
Kinematic intensities with the Lorentz-polarization factor, no thermal factor.

Atomic structure:
abc: 6.2800 7.2598 8.8961
angles: 90.02 103.56 90.04
Positions (direct):
Ca: 0.0000 0.0000 0.0000
Tb: 0.2191 0.5003 0.6676
Tb: 0.2813 0.7465 0.3384
Tb: 0.7187 0.2535 0.6616
Tb: 0.7809 0.4997 0.3324
Y: 0.0000 0.5000 0.0000
Y: 0.2249 0.0000 0.6601
Y: 0.2838 0.2537 0.3382
Y: 0.5003 0.2564 0.9987
Y: 0.4997 0.7436 0.0013
Y: 0.7162 0.7463 0.6618
Y: 0.7751 0.0000 0.3399

Peak list (10 most intense, 10° ≤ 2θ ≤ 90°, sorted by position)
28.62°, intensity 29; 29.25°, intensity 41; 31.02°, intensity 54; 31.64°, intensity 100; 33.34°, intensity 94; 37.53°, intensity 23; 50.30°, intensity 41; 54.47°, intensity 19; 57.76°, intensity 20; 60.28°, intensity 47

***

For CaTb4Y, a crystal structure in Alexandria, relaxed with GGA-PBE gives the theoretical X-ray powder pattern in this record (λ = 1.5418 Å (Cu Kα)).
Kinematic intensities with the Lorentz-polarization factor, no thermal factor.

Atomic structure:
abc: 8.9395 8.9395 6.3245
angles: 96.70 96.70 23.46
Positions (direct):
Ca: 0.0000 0.0000 0.0000
Tb: 0.1685 0.1685 0.3927
Tb: 0.3280 0.3280 0.1134
Tb: 0.6720 0.6720 0.8866
Tb: 0.8315 0.8315 0.6073
Y: 0.5000 0.5000 0.5000

Peak list (10 most intense, 10° ≤ 2θ ≤ 90°, sorted by position)
10.18°, intensity 50; 29.15°, intensity 46; 30.87°, intensity 56; 31.43°, intensity 33; 31.54°, intensity 64; 33.19°, intensity 100; 37.39°, intensity 27; 50.02°, intensity 29; 57.46°, intensity 23; 59.94°, intensity 33

***

For CaTb3Y5, a crystal structure in Alexandria, relaxed with GGA-PBE gives the theoretical X-ray powder pattern in this record (λ = 1.5418 Å (Cu Kα)).
Kinematic intensities with the Lorentz-polarization factor, no thermal factor.

Atomic structure:
abc: 9.8819 9.8819 6.9891
angles: 90.00 90.00 60.10
Positions (direct):
Ca: 0.1480 0.8520 0.7500
Ca: 0.8520 0.1480 0.2500
Tb: 0.1716 0.1716 0.0000
Tb: 0.1716 0.1716 0.5000
Tb: 0.5000 0.5000 0.0000
Tb: 0.5000 0.5000 0.5000
Tb: 0.8284 0.8284 0.0000
Tb: 0.8284 0.8284 0.5000
Y: 0.1445 0.5022 0.2500
Y: 0.1900 0.4934 0.7500
Y: 0.1922 0.8078 0.2500
Y: 0.4934 0.1900 0.2500
Y: 0.4978 0.8555 0.2500
Y: 0.5022 0.1445 0.7500
Y: 0.5066 0.8100 0.7500
Y: 0.8078 0.1922 0.7500
Y: 0.8100 0.5066 0.2500
Y: 0.8555 0.4978 0.7500

Peak list (10 most intense, 10° ≤ 2θ ≤ 90°, sorted by position)
17.94°, intensity 10; 31.34°, intensity 100; 44.92°, intensity 19; 52.36°, intensity 4; 55.78°, intensity 22; 55.84°, intensity 6; 62.31°, intensity 13; 65.37°, intensity 4; 74.29°, intensity 6; 80.04°, intensity 5

***

For CaTb2Zn3, a crystal structure in Alexandria, relaxed with GGA-PBE gives the theoretical X-ray powder pattern in this record (λ = 1.5418 Å (Cu Kα)).
Kinematic intensities with the Lorentz-polarization factor, no thermal factor.

Atomic structure:
abc: 3.5981 3.5981 10.9513
angles: 90.00 90.00 90.00
Positions (direct):
Ca: 0.0000 0.0000 0.0000
Tb: 0.0000 0.0000 0.3384
Tb: 0.0000 0.0000 0.6616
Zn: 0.5000 0.5000 0.1796
Zn: 0.5000 0.5000 0.5000
Zn: 0.5000 0.5000 0.8204

Peak list (10 most intense, 10° ≤ 2θ ≤ 90°, sorted by position)
24.74°, intensity 8; 26.07°, intensity 8; 35.02°, intensity 100; 35.28°, intensity 50; 49.97°, intensity 8; 50.75°, intensity 17; 62.64°, intensity 17; 63.14°, intensity 35; 73.98°, intensity 10; 85.30°, intensity 8

***

For CaTb2Zn4, a crystal structure in Alexandria, relaxed with GGA-PBE gives the theoretical X-ray powder pattern in this record (λ = 1.5418 Å (Cu Kα)).
Kinematic intensities with the Lorentz-polarization factor, no thermal factor.

Atomic structure:
abc: 8.6078 8.6078 8.6078
angles: 33.52 33.52 33.52
Positions (direct):
Ca: 0.0000 0.0000 0.0000
Tb: 0.2442 0.2442 0.2442
Tb: 0.7558 0.7558 0.7558
Zn: 0.1227 0.1227 0.1227
Zn: 0.3914 0.3914 0.3914
Zn: 0.6086 0.6086 0.6086
Zn: 0.8773 0.8773 0.8773

Peak list (10 most intense, 10° ≤ 2θ ≤ 90°, sorted by position)
21.91°, intensity 47; 36.17°, intensity 100; 42.70°, intensity 28; 52.09°, intensity 16; 57.15°, intensity 10; 65.06°, intensity 29; 69.55°, intensity 9; 76.78°, intensity 8; 81.00°, intensity 9; 87.93°, intensity 11

***

For Ca4Tc5, a crystal structure in Alexandria, relaxed with GGA-PBE gives the theoretical X-ray powder pattern in this record (λ = 1.5418 Å (Cu Kα)).
Kinematic intensities with the Lorentz-polarization factor, no thermal factor.

Atomic structure:
abc: 8.5103 8.5103 5.4933
angles: 90.00 90.00 120.00
Positions (direct):
Ca: 0.0000 0.0000 0.0000
Ca: 0.0000 0.0000 0.5000
Ca: 0.0000 0.2951 0.2500
Ca: 0.0000 0.7049 0.7500
Ca: 0.2951 0.0000 0.2500
Ca: 0.2951 0.2951 0.7500
Ca: 0.7049 0.0000 0.7500
Ca: 0.7049 0.7049 0.2500
Tc: 0.0000 0.4178 0.7500
Tc: 0.0000 0.5822 0.2500
Tc: 0.3333 0.6667 0.0000
Tc: 0.3333 0.6667 0.5000
Tc: 0.4178 0.0000 0.7500
Tc: 0.4178 0.4178 0.2500
Tc: 0.5822 0.0000 0.2500
Tc: 0.5822 0.5822 0.7500
Tc: 0.6667 0.3333 0.0000
Tc: 0.6667 0.3333 0.5000

Peak list (10 most intense, 10° ≤ 2θ ≤ 90°, sorted by position)
12.01°, intensity 62; 24.15°, intensity 14; 36.15°, intensity 46; 36.58°, intensity 66; 39.03°, intensity 100; 40.98°, intensity 26; 47.46°, intensity 43; 54.56°, intensity 13; 67.49°, intensity 22; 68.84°, intensity 14